1.
Diffraction record for Li2MnVO4. The PXRD pattern is calculated, not measured: it uses a DFT-relaxed cell (PBE+U, Alexandria) and Cu Kα X-rays.
Intensities are scaled so that the largest is 100.

Cell and atoms:
Cell lengths 5.281, 2.929, 5.368 Å; angles 90.00, 112.56, 90.00 degrees
Space group P2/m (No. 10)
Inequivalent atoms, fractional coordinates:
Li (0.000, 0.000, 0.000) x1
Li (0.000, 0.500, 0.500) x1
Mn (0.500, 0.000, 0.500) x1
V (0.500, 0.500, 0.000) x1
O (0.257, 0.000, 0.767) x2
O (0.287, 0.500, 0.258) x2

The 6 most intense peaks (2θ from 5° to 70°), by intensity:
2θ = 18.19°, rel. 100, (1 0 0)
2θ = 43.50°, rel. 54, (1 1 1)
2θ = 40.76°, rel. 33, (2 0 -2)
2θ = 35.60°, rel. 26, (0 1 1)
2θ = 33.70°, rel. 17, (1 0 -2)
2θ = 60.71°, rel. 17, (1 1 -3)

2.
Diffraction record for Li2MnV5O12. The PXRD pattern is calculated, not measured: it uses a DFT-relaxed cell (PBE+U, Alexandria) and Cu Kα X-rays.
Intensities are scaled so that the largest is 100.

Cell and atoms:
Cell lengths 10.976, 8.520, 5.715 Å; angles 90.00, 112.35, 90.00 degrees
Space group C2 (No. 5)
Inequivalent atoms, fractional coordinates:
Li (0.000, 0.000, 0.000) x2
Li (0.000, 0.420, 0.500) x2
Mn (0.000, 0.621, 0.000) x2
V (0.000, 0.789, 0.500) x2
V (0.223, 0.308, 0.021) x4
V (0.225, 0.101, 0.544) x4
O (0.099, 0.612, 0.415) x4
O (0.102, 0.809, 0.889) x4
O (0.121, 0.940, 0.447) x4
O (0.153, 0.267, 0.685) x4
O (0.157, 0.184, 0.193) x4
O (0.183, 0.503, 0.081) x4

The 6 most intense peaks (2θ from 5° to 70°), by intensity:
2θ = 28.41°, rel. 100, (2 2 -1)
2θ = 13.57°, rel. 29, (1 1 0)
2θ = 52.69°, rel. 24, (5 3 -1)
2θ = 33.92°, rel. 23, (0 0 2)
2θ = 18.85°, rel. 22, (1 1 -1)
2θ = 39.81°, rel. 16, (1 1 2)

3.
Diffraction record for Li2MnV3O8. The PXRD pattern is calculated, not measured: it uses a DFT-relaxed cell (PBE+U, Alexandria) and Cu Kα X-rays.
Intensities are scaled so that the largest is 100.

Cell and atoms:
Cell lengths 5.9300, 5.9300, 9.9183 Å; angles 90.00, 90.00, 120.00 degrees
Space group P31c (No. 159)
Inequivalent atoms, fractional coordinates:
Li (0.0000, 0.0000, 0.0000) x2
Li (0.3333, 0.6667, 0.3986) x2
Mn (0.3333, 0.6667, 0.0009) x2
V (0.1556, 0.8177, 0.7177) x6
O (0.0000, 0.0000, 0.3168) x2
O (0.0333, 0.5318, 0.8294) x6
O (0.1404, 0.3107, 0.1123) x6
O (0.3333, 0.6667, 0.6062) x2

The 6 most intense peaks (2θ from 5° to 70°), by intensity:
2θ = 19.46°, rel. 100, (1 0 1)
2θ = 17.89°, rel. 85, (0 0 2)
2θ = 35.27°, rel. 70, (2 -1 2)
2θ = 44.69°, rel. 59, (2 0 3)
2θ = 58.83°, rel. 56, (2 0 5)
2θ = 36.14°, rel. 55, (2 0 1)